The following is a simulated X-ray powder pattern of Ce4Bi3Br. It was derived from the GGA-PBE geometry in Alexandria, using a wavelength of 1.5418 Å.
Lines closer than 0.1° are merged.

Most intense lines, 5 to 70 degrees two-theta, by intensity:
d [Å], I/Imax
3.211, 100
2.277, 26
2.264, 26
1.870, 15
2.300, 14
1.605, 13
2.241, 12
1.439, 12
1.433, 12
1.845, 7
1.831, 7
1.451, 6

Structure:
a = 7.802 Å, b = 4.600 Å, c = 7.863 Å
α = 90.00°, β = 110.20°, γ = 90.00°
Fractional positions:
Ce 0.245 0.000 0.245
Ce 0.248 0.500 0.752
Ce 0.752 0.500 0.248
Ce 0.755 0.000 0.755
Bi 0.000 0.000 0.500
Bi 0.500 0.000 0.000
Bi 0.500 0.500 0.500
Br 0.000 0.500 0.000

The following is a simulated X-ray powder pattern of Ca2In3Pb3. It was derived from the GGA-PBE geometry in Alexandria, using a wavelength of 1.5418 Å.
Lines closer than 0.1° are merged.

Most intense lines, 5 to 70 degrees two-theta, by intensity:
d [Å], I/Imax
2.792, 100
2.515, 19
2.406, 17
2.343, 15
1.500, 15
1.453, 14
3.477, 13
4.686, 13
1.425, 13
1.739, 12
1.396, 12
1.714, 12

Structure:
a = 4.812 Å, b = 5.029 Å, c = 9.373 Å
α = 90.00°, β = 90.00°, γ = 90.00°
Fractional positions:
Ca 0.000 0.000 0.247
Ca 0.000 0.000 0.753
In 0.000 0.500 0.000
In 0.500 0.500 0.244
In 0.500 0.500 0.756
Pb 0.000 0.500 0.500
Pb 0.500 0.000 0.000
Pb 0.500 0.000 0.500

The following is a simulated X-ray powder pattern of Na8SbPb2. It was derived from the GGA-PBE geometry in Alexandria, using a wavelength of 1.5418 Å.
Lines closer than 0.1° are merged.

Most intense lines, 5 to 70 degrees two-theta, by intensity:
d [Å], I/Imax
4.627, 100
2.756, 83
2.727, 54
4.042, 46
4.587, 46
7.590, 31
2.680, 30
2.656, 28
3.447, 21
2.233, 20
3.376, 18
2.314, 16

Structure:
a = 5.359 Å, b = 8.579 Å, c = 8.604 Å
α = 64.54°, β = 71.87°, γ = 71.84°
Fractional positions:
Na 0.000 0.000 0.000
Na 0.002 0.609 0.385
Na 0.313 0.719 0.653
Na 0.320 0.258 0.099
Na 0.509 0.310 0.668
Na 0.653 0.848 0.846
Na 0.658 0.463 0.217
Na 0.796 0.006 0.397
Sb 0.460 0.842 0.237
Pb 0.134 0.169 0.559
Pb 0.871 0.435 0.819

The following is a simulated X-ray powder pattern of CsK14Pd. It was derived from the GGA-PBE geometry in Alexandria, using a wavelength of 1.5418 Å.
Lines closer than 0.1° are merged.

Most intense lines, 5 to 70 degrees two-theta, by intensity:
d [Å], I/Imax
3.724, 100
11.664, 47
3.614, 32
3.706, 25
2.143, 23
7.440, 20
3.110, 17
4.287, 17
3.194, 15
2.804, 15
2.916, 15
6.389, 14

Structure:
a = 11.664 Å, b = 9.786 Å, c = 9.786 Å
α = 81.51°, β = 90.00°, γ = 90.00°
Fractional positions:
Cs 0.000 0.000 0.000
K 0.000 0.528 0.986
K 0.000 0.986 0.528
K 0.183 0.351 0.689
K 0.183 0.689 0.351
K 0.239 0.250 0.250
K 0.251 0.763 0.763
K 0.500 0.012 0.012
K 0.500 0.018 0.509
K 0.500 0.505 0.505
K 0.500 0.509 0.018
K 0.749 0.763 0.763
K 0.761 0.250 0.250
K 0.817 0.351 0.689
K 0.817 0.689 0.351
Pd 0.000 0.646 0.646

The following is a simulated X-ray powder pattern of Nd2Si7Au12. It was derived from the GGA-PBE geometry in Alexandria, using a wavelength of 1.5418 Å.
Lines closer than 0.1° are merged.

Most intense lines, 5 to 70 degrees two-theta, by intensity:
d [Å], I/Imax
2.651, 100
2.212, 18
3.312, 17
2.010, 17
1.912, 12
2.130, 12
1.347, 11
1.488, 10
3.330, 10
1.447, 9
1.840, 9
2.530, 8

Structure:
a = 10.118 Å, b = 10.118 Å, c = 4.424 Å
α = 90.00°, β = 90.00°, γ = 120.00°
Fractional positions:
Nd 0.333 0.667 0.241
Nd 0.667 0.333 0.759
Si 0.000 0.000 0.500
Si 0.113 0.397 0.720
Si 0.284 0.887 0.720
Si 0.397 0.284 0.280
Si 0.603 0.716 0.720
Si 0.716 0.113 0.280
Si 0.887 0.603 0.280
Au 0.069 0.614 0.754
Au 0.124 0.860 0.214
Au 0.140 0.264 0.214
Au 0.264 0.124 0.786
Au 0.386 0.455 0.754
Au 0.455 0.069 0.246
Au 0.545 0.931 0.754
Au 0.614 0.545 0.246
Au 0.736 0.876 0.214
Au 0.860 0.736 0.786
Au 0.876 0.140 0.786
Au 0.931 0.386 0.246

The following is a simulated X-ray powder pattern of AcEr3Mg4. It was derived from the GGA-PBE geometry in Alexandria, using a wavelength of 1.5418 Å.
Lines closer than 0.1° are merged.

Most intense lines, 5 to 70 degrees two-theta, by intensity:
d [Å], I/Imax
2.725, 100
3.853, 68
1.573, 38
2.225, 21
1.724, 20
1.925, 12
1.722, 10
1.363, 8
1.930, 6
1.361, 4
4.449, 1
3.445, 1

Structure:
a = 5.444 Å, b = 5.444 Å, c = 7.721 Å
α = 90.00°, β = 90.00°, γ = 90.00°
Fractional positions:
Ac 0.000 0.000 0.000
Er 0.000 0.000 0.500
Er 0.500 0.500 0.000
Er 0.500 0.500 0.500
Mg 0.000 0.500 0.267
Mg 0.000 0.500 0.733
Mg 0.500 0.000 0.267
Mg 0.500 0.000 0.733

The following is a simulated X-ray powder pattern of K2PaReO6. It was derived from the GGA-PBE geometry in Alexandria, using a wavelength of 1.5418 Å.
Lines closer than 0.1° are merged.

Most intense lines, 5 to 70 degrees two-theta, by intensity:
d [Å], I/Imax
2.950, 100
4.188, 74
2.961, 51
1.708, 41
4.157, 36
1.872, 34
2.094, 31
1.701, 20
1.475, 19
1.862, 17
2.079, 15
2.412, 15

Structure:
a = 5.923 Å, b = 5.923 Å, c = 4.157 Å
α = 90.00°, β = 90.00°, γ = 90.00°
Fractional positions:
K 0.000 0.500 0.000
K 0.500 0.000 0.000
Pa 0.000 0.000 0.500
Re 0.500 0.500 0.500
O 0.000 0.000 0.000
O 0.263 0.263 0.500
O 0.263 0.737 0.500
O 0.500 0.500 0.000
O 0.737 0.263 0.500
O 0.737 0.737 0.500

The following is a simulated X-ray powder pattern of AcGe4Au2. It was derived from the GGA-PBE geometry in Alexandria, using a wavelength of 1.5418 Å.
Lines closer than 0.1° are merged.

Most intense lines, 5 to 70 degrees two-theta, by intensity:
d [Å], I/Imax
3.351, 100
2.635, 69
2.566, 56
1.838, 48
2.360, 44
1.737, 35
2.277, 34
2.686, 27
3.267, 26
1.639, 25
2.051, 25
1.596, 12

Structure:
a = 6.852 Å, b = 6.852 Å, c = 4.721 Å
α = 90.00°, β = 90.00°, γ = 136.02°
Fractional positions:
Ac 0.000 0.000 0.000
Ge 0.180 0.820 0.500
Ge 0.284 0.716 0.000
Ge 0.716 0.284 0.000
Ge 0.820 0.180 0.500
Au 0.395 0.605 0.500
Au 0.605 0.395 0.500

The following is a simulated X-ray powder pattern of Nb10Al3Si3. It was derived from the GGA-PBE geometry in Alexandria, using a wavelength of 1.5418 Å.
Lines closer than 0.1° are merged.

Most intense lines, 5 to 70 degrees two-theta, by intensity:
d [Å], I/Imax
2.232, 100
2.096, 56
2.476, 42
2.299, 37
2.486, 36
2.288, 32
3.417, 32
2.278, 30
2.575, 26
3.229, 26
1.420, 20
2.552, 15

Structure:
a = 10.210 Å, b = 7.685 Å, c = 7.645 Å
α = 83.52°, β = 48.41°, γ = 48.07°
Fractional positions:
Nb 0.100 0.900 0.100
Nb 0.250 0.450 0.550
Nb 0.397 0.752 0.248
Nb 0.422 0.921 0.578
Nb 0.450 0.250 0.750
Nb 0.592 0.951 0.049
Nb 0.752 0.397 0.603
Nb 0.900 0.100 0.900
Nb 0.921 0.422 0.079
Nb 0.951 0.592 0.408
Al 0.423 0.423 0.077
Al 0.838 0.838 0.162
Al 0.923 0.923 0.577
Si 0.011 0.337 0.663
Si 0.337 0.011 0.989
Si 0.508 0.508 0.492

The following is a simulated X-ray powder pattern of Na2B3C. It was derived from the GGA-PBE geometry in Alexandria, using a wavelength of 1.5418 Å.
Lines closer than 0.1° are merged.

Most intense lines, 5 to 70 degrees two-theta, by intensity:
d [Å], I/Imax
2.152, 100
2.227, 37
1.480, 13
2.488, 13
2.604, 9
1.626, 7
1.416, 6
1.657, 4
13.021, 2
1.399, 2
4.296, 1
1.345, 1

Structure:
a = 8.593 Å, b = 13.098 Å, c = 13.098 Å
α = 12.41°, β = 90.00°, γ = 90.00°
Fractional positions:
Na 0.246 0.000 0.000
Na 0.247 0.202 0.202
Na 0.247 0.802 0.802
Na 0.248 0.401 0.401
Na 0.249 0.600 0.600
Na 0.751 0.600 0.600
Na 0.752 0.401 0.401
Na 0.753 0.202 0.202
Na 0.753 0.802 0.802
Na 0.754 0.000 0.000
B 0.000 0.131 0.131
B 0.000 0.334 0.334
B 0.000 0.467 0.467
B 0.000 0.537 0.537
B 0.000 0.670 0.670
B 0.000 0.740 0.740
B 0.000 0.928 0.928
B 0.500 0.067 0.067
B 0.500 0.131 0.131
B 0.500 0.278 0.278
B 0.500 0.460 0.460
B 0.500 0.527 0.527
B 0.500 0.674 0.674
B 0.500 0.737 0.737
B 0.500 0.868 0.868
C 0.000 0.068 0.068
C 0.000 0.271 0.271
C 0.000 0.866 0.866
C 0.500 0.338 0.338
C 0.500 0.930 0.930

The following is a simulated X-ray powder pattern of CsLaS2O8. It was derived from the GGA-PBE geometry in Alexandria, using a wavelength of 1.5418 Å.
Lines closer than 0.1° are merged.

Most intense lines, 5 to 70 degrees two-theta, by intensity:
d [Å], I/Imax
3.296, 100
4.806, 61
2.775, 40
2.123, 32
4.246, 28
1.686, 25
2.366, 23
2.049, 21
1.755, 17
1.817, 13
1.648, 11
1.417, 10

Structure:
a = 5.550 Å, b = 5.550 Å, c = 9.060 Å
α = 90.00°, β = 90.00°, γ = 120.00°
Fractional positions:
Cs 0.000 0.000 0.000
La 0.000 0.000 0.500
S 0.333 0.667 0.723
S 0.667 0.333 0.277
O 0.129 0.384 0.664
O 0.255 0.871 0.664
O 0.333 0.667 0.884
O 0.384 0.255 0.336
O 0.616 0.745 0.664
O 0.667 0.333 0.116
O 0.745 0.129 0.336
O 0.871 0.616 0.336

The following is a simulated X-ray powder pattern of Na2P4Rh5. It was derived from the GGA-PBE geometry in Alexandria, using a wavelength of 1.5418 Å.
Lines closer than 0.1° are merged.

Most intense lines, 5 to 70 degrees two-theta, by intensity:
d [Å], I/Imax
5.108, 100
1.968, 83
2.456, 81
2.017, 52
2.132, 45
4.602, 44
2.765, 41
3.289, 41
2.554, 40
2.425, 30
1.455, 26
1.366, 25

Structure:
a = 8.328 Å, b = 7.149 Å, c = 5.826 Å
α = 79.14°, β = 57.46°, γ = 43.39°
Fractional positions:
Na 0.127 0.127 0.873
Na 0.873 0.873 0.127
P 0.213 0.529 0.471
P 0.471 0.787 0.213
P 0.529 0.213 0.787
P 0.787 0.471 0.529
Rh 0.000 0.000 0.500
Rh 0.250 0.250 0.250
Rh 0.500 0.500 0.000
Rh 0.500 0.500 0.500
Rh 0.750 0.750 0.750